[1]
Computed powder diffractogram of Gd3NbS3O4 for λ = 1.5418 Å (Cu Kα), from a structure optimized by DFT (PBE).

Atomic structure:
Lattice parameters (Å, degrees): 6.6762 14.3444 7.6388 90.00 90.00 90.00
Atoms (fractional coordinates):
Gd 0.2166 0.1566 0.0000
Gd 0.2242 0.9186 0.2443
Gd 0.2259 0.1651 0.4896
Gd 0.2741 0.6651 0.9896
Gd 0.2758 0.4186 0.7443
Gd 0.2834 0.6566 0.5000
Gd 0.7166 0.3434 0.0000
Gd 0.7242 0.5814 0.2443
Gd 0.7259 0.3349 0.4896
Gd 0.7741 0.8349 0.9896
Gd 0.7758 0.0814 0.7443
Gd 0.7834 0.8434 0.5000
Nb 0.1842 0.9277 0.7562
Nb 0.3158 0.4277 0.2562
Nb 0.6842 0.5723 0.7562
Nb 0.8158 0.0723 0.2562
S 0.0022 0.2735 0.7513
S 0.0248 0.4940 0.4700
S 0.0457 0.2976 0.2372
S 0.4543 0.7976 0.7372
S 0.4752 0.9940 0.9700
S 0.4978 0.7735 0.2513
S 0.5022 0.2265 0.7513
S 0.5248 0.0060 0.4700
S 0.5457 0.2024 0.2372
S 0.9543 0.7024 0.7372
S 0.9752 0.5060 0.9700
S 0.9978 0.7265 0.2513
O 0.1180 0.8671 0.9740
O 0.1245 0.8848 0.5216
O 0.1349 0.0726 0.2534
O 0.1438 0.0633 0.7383
O 0.3562 0.5633 0.2383
O 0.3651 0.5726 0.7534
O 0.3755 0.3848 0.0216
O 0.3820 0.3671 0.4740
O 0.6180 0.6329 0.9740
O 0.6245 0.6152 0.5216
O 0.6349 0.4274 0.2534
O 0.6438 0.4367 0.7383
O 0.8562 0.9367 0.2383
O 0.8651 0.9274 0.7534
O 0.8755 0.1152 0.0216
O 0.8820 0.1329 0.4740

Largest 12 diffraction maxima, low angle first, 10° ≤ 2θ ≤ 90°:
- 2θ = 24.83°, d = 3.586 Å, I = 13
- 2θ = 26.44°, d = 3.371 Å, I = 15
- 2θ = 26.71°, d = 3.338 Å, I = 29
- 2θ = 28.25°, d = 3.159 Å, I = 54
- 2θ = 29.69°, d = 3.009 Å, I = 100
- 2θ = 36.78°, d = 2.443 Å, I = 16
- 2θ = 37.93°, d = 2.372 Å, I = 30
- 2θ = 44.72°, d = 2.026 Å, I = 32
- 2θ = 47.62°, d = 1.910 Å, I = 17
- 2θ = 49.05°, d = 1.857 Å, I = 21
- 2θ = 52.86°, d = 1.732 Å, I = 32
- 2θ = 56.29°, d = 1.634 Å, I = 16


[2]
Computed powder diffractogram of Gd2ScNbO7 for λ = 1.5418 Å (Cu Kα), from a structure optimized by DFT (PBE).

Atomic structure:
Lattice parameters (Å, degrees): 7.4323 7.4323 7.4323 120.57 119.40 90.02
Atoms (fractional coordinates):
Gd 0.0000 0.0000 0.0000
Gd 0.5000 0.0000 0.0000
Gd 0.5000 0.0000 0.5000
Gd 0.5000 0.5000 0.5000
Sc 0.0000 0.0000 0.5000
Sc 0.0000 0.5000 0.0000
Nb 0.0000 0.5000 0.5000
Nb 0.5000 0.5000 0.0000
O 0.0923 0.4236 0.2653
O 0.0923 0.8269 0.6686
O 0.0979 0.8479 0.2500
O 0.3232 0.5732 0.7500
O 0.3417 0.1731 0.7653
O 0.3417 0.5764 0.1686
O 0.3785 0.1285 0.2500
O 0.6215 0.8715 0.7500
O 0.6583 0.4236 0.8314
O 0.6583 0.8269 0.2347
O 0.6768 0.4268 0.2500
O 0.9021 0.1521 0.7500
O 0.9077 0.1731 0.3314
O 0.9077 0.5764 0.7347

Largest 12 diffraction maxima, low angle first, 10° ≤ 2θ ≤ 90°:
- 2θ = 14.51°, d = 6.104 Å, I = 27
- 2θ = 29.26°, d = 3.052 Å, I = 99
- 2θ = 29.62°, d = 3.016 Å, I = 100
- 2θ = 34.12°, d = 2.628 Å, I = 61
- 2θ = 48.56°, d = 1.875 Å, I = 17
- 2θ = 49.03°, d = 1.858 Å, I = 65
- 2θ = 49.48°, d = 1.842 Å, I = 15
- 2θ = 57.91°, d = 1.592 Å, I = 31
- 2θ = 58.13°, d = 1.587 Å, I = 14
- 2θ = 58.34°, d = 1.582 Å, I = 14
- 2θ = 58.53°, d = 1.577 Å, I = 28
- 2θ = 82.00°, d = 1.175 Å, I = 18


[3]
Computed powder diffractogram of Gd7Y5Nb4O28 for λ = 1.5418 Å (Cu Kα), from a structure optimized by DFT (PBE).

Atomic structure:
Lattice parameters (Å, degrees): 6.5426 7.5660 12.5966 89.93 79.31 89.95
Atoms (fractional coordinates):
Gd 0.0000 0.0000 0.0000
Gd 0.0009 0.2429 0.4659
Gd 0.0364 0.7412 0.4992
Gd 0.2336 0.9847 0.2330
Gd 0.5008 0.2435 0.9655
Gd 0.5353 0.7406 0.9995
Gd 0.7326 0.9846 0.7318
Y 0.0373 0.4998 0.9638
Y 0.3054 0.4842 0.2323
Y 0.5007 0.9993 0.4998
Y 0.5370 0.4998 0.4638
Y 0.8060 0.4843 0.7316
Nb 0.2682 0.2435 0.7297
Nb 0.2713 0.7409 0.7332
Nb 0.7669 0.2430 0.2310
Nb 0.7705 0.7409 0.2342
O 0.0490 0.6953 0.2586
O 0.0552 0.2681 0.2736
O 0.1641 0.4920 0.7660
O 0.1677 0.7835 0.8861
O 0.1865 0.2212 0.8968
O 0.2152 0.9933 0.4190
O 0.2299 0.4923 0.4122
O 0.3102 0.9922 0.0519
O 0.3217 0.4922 0.0476
O 0.3528 0.7185 0.5673
O 0.3685 0.9921 0.6978
O 0.3718 0.2864 0.5778
O 0.4795 0.7622 0.1907
O 0.4859 0.2022 0.2049
O 0.5496 0.6948 0.7574
O 0.5557 0.2684 0.7723
O 0.6631 0.4922 0.2687
O 0.6651 0.7861 0.3864
O 0.6843 0.2187 0.3974
O 0.7120 0.9921 0.9174
O 0.7303 0.4921 0.9114
O 0.8084 0.9915 0.5509
O 0.8220 0.4920 0.5473
O 0.8512 0.7164 0.0682
O 0.8673 0.9922 0.1994
O 0.8707 0.2893 0.0793
O 0.9803 0.7626 0.6899
O 0.9864 0.2013 0.7044

Largest 12 diffraction maxima, low angle first, 10° ≤ 2θ ≤ 90°:
- 2θ = 28.84°, d = 3.096 Å, I = 100
- 2θ = 28.97°, d = 3.082 Å, I = 100
- 2θ = 33.39°, d = 2.684 Å, I = 42
- 2θ = 33.72°, d = 2.658 Å, I = 19
- 2θ = 47.76°, d = 1.904 Å, I = 12
- 2θ = 48.15°, d = 1.890 Å, I = 61
- 2θ = 48.22°, d = 1.887 Å, I = 14
- 2θ = 56.83°, d = 1.620 Å, I = 21
- 2θ = 57.06°, d = 1.614 Å, I = 28
- 2θ = 57.41°, d = 1.605 Å, I = 18
- 2θ = 60.03°, d = 1.541 Å, I = 9
- 2θ = 77.84°, d = 1.227 Å, I = 11


[4]
Computed powder diffractogram of NdGd3 for λ = 1.5418 Å (Cu Kα), from a structure optimized by DFT (PBE).

Atomic structure:
Lattice parameters (Å, degrees): 5.1130 5.1130 5.1130 90.00 90.00 90.00
Atoms (fractional coordinates):
Nd 0.0000 0.0000 0.0000
Gd 0.0000 0.5000 0.5000
Gd 0.5000 0.0000 0.5000
Gd 0.5000 0.5000 0.0000

Largest 8 diffraction maxima, low angle first, 10° ≤ 2θ ≤ 90°:
- 2θ = 30.28°, d = 2.952 Å, I = 100
- 2θ = 35.10°, d = 2.557 Å, I = 51
- 2θ = 50.49°, d = 1.808 Å, I = 36
- 2θ = 60.01°, d = 1.542 Å, I = 43
- 2θ = 62.97°, d = 1.476 Å, I = 12
- 2θ = 74.18°, d = 1.278 Å, I = 6
- 2θ = 82.18°, d = 1.173 Å, I = 18
- 2θ = 84.80°, d = 1.143 Å, I = 17


[5]
Computed powder diffractogram of Nd3GdZr4O14 for λ = 1.5418 Å (Cu Kα), from a structure optimized by DFT (PBE).

Atomic structure:
Lattice parameters (Å, degrees): 7.5306 7.5306 7.5306 59.75 59.75 59.75
Atoms (fractional coordinates):
Nd 0.0000 0.5000 0.5000
Nd 0.5000 0.0000 0.5000
Nd 0.5000 0.5000 0.0000
Gd 0.5000 0.5000 0.5000
Zr 0.0000 0.0000 0.0000
Zr 0.0000 0.0000 0.5000
Zr 0.0000 0.5000 0.0000
Zr 0.5000 0.0000 0.0000
O 0.1180 0.1180 0.6309
O 0.1180 0.6309 0.1180
O 0.1246 0.6281 0.6281
O 0.1261 0.1261 0.1261
O 0.3691 0.8820 0.8820
O 0.3719 0.3719 0.8754
O 0.3719 0.8754 0.3719
O 0.6281 0.1246 0.6281
O 0.6281 0.6281 0.1246
O 0.6309 0.1180 0.1180
O 0.8739 0.8739 0.8739
O 0.8754 0.3719 0.3719
O 0.8820 0.3691 0.8820
O 0.8820 0.8820 0.3691

Largest 12 diffraction maxima, low angle first, 10° ≤ 2θ ≤ 90°:
- 2θ = 28.99°, d = 3.080 Å, I = 34
- 2θ = 29.14°, d = 3.065 Å, I = 100
- 2θ = 33.73°, d = 2.657 Å, I = 39
- 2θ = 48.35°, d = 1.883 Å, I = 36
- 2θ = 48.54°, d = 1.876 Å, I = 36
- 2θ = 57.36°, d = 1.606 Å, I = 15
- 2θ = 57.56°, d = 1.601 Å, I = 43
- 2θ = 60.41°, d = 1.532 Å, I = 8
- 2θ = 70.93°, d = 1.329 Å, I = 11
- 2θ = 78.60°, d = 1.217 Å, I = 11
- 2θ = 80.74°, d = 1.190 Å, I = 7
- 2θ = 81.03°, d = 1.187 Å, I = 7


[6]
Computed powder diffractogram of GdNi for λ = 1.5418 Å (Cu Kα), from a structure optimized by DFT (PBE).

Atomic structure:
Lattice parameters (Å, degrees): 3.7678 10.4231 4.2388 90.00 90.00 90.00
Atoms (fractional coordinates):
Gd 0.0000 0.1392 0.2500
Gd 0.0000 0.8608 0.7500
Gd 0.5000 0.3608 0.7500
Gd 0.5000 0.6392 0.2500
Ni 0.0000 0.4277 0.2500
Ni 0.0000 0.5723 0.7500
Ni 0.5000 0.0723 0.7500
Ni 0.5000 0.9277 0.2500

Largest 12 diffraction maxima, low angle first, 10° ≤ 2θ ≤ 90°:
- 2θ = 27.12°, d = 3.288 Å, I = 38
- 2θ = 32.95°, d = 2.719 Å, I = 100
- 2θ = 34.42°, d = 2.606 Å, I = 26
- 2θ = 35.13°, d = 2.554 Å, I = 42
- 2θ = 40.64°, d = 2.220 Å, I = 18
- 2θ = 41.27°, d = 2.188 Å, I = 49
- 2θ = 42.66°, d = 2.119 Å, I = 27
- 2θ = 48.31°, d = 1.884 Å, I = 19
- 2θ = 56.41°, d = 1.631 Å, I = 22
- 2θ = 66.39°, d = 1.408 Å, I = 14
- 2θ = 67.66°, d = 1.385 Å, I = 13
- 2θ = 83.36°, d = 1.159 Å, I = 15


[7]
Computed powder diffractogram of GdNi3 for λ = 1.5418 Å (Cu Kα), from a structure optimized by DFT (PBE).

Atomic structure:
Lattice parameters (Å, degrees): 8.6727 8.6727 8.6727 33.09 33.09 33.09
Atoms (fractional coordinates):
Gd 0.0000 0.0000 0.0000
Gd 0.1388 0.1388 0.1388
Gd 0.8612 0.8612 0.8612
Ni 0.0821 0.5814 0.5814
Ni 0.3328 0.3328 0.3328
Ni 0.4186 0.4186 0.9179
Ni 0.4186 0.9179 0.4186
Ni 0.5000 0.5000 0.5000
Ni 0.5814 0.0821 0.5814
Ni 0.5814 0.5814 0.0821
Ni 0.6672 0.6672 0.6672
Ni 0.9179 0.4186 0.4186

Largest 12 diffraction maxima, low angle first, 10° ≤ 2θ ≤ 90°:
- 2θ = 33.01°, d = 2.713 Å, I = 51
- 2θ = 36.00°, d = 2.495 Å, I = 43
- 2θ = 36.38°, d = 2.469 Å, I = 55
- 2θ = 42.43°, d = 2.131 Å, I = 43
- 2θ = 42.76°, d = 2.115 Å, I = 100
- 2θ = 45.83°, d = 1.980 Å, I = 15
- 2θ = 46.30°, d = 1.961 Å, I = 16
- 2θ = 63.34°, d = 1.468 Å, I = 16
- 2θ = 65.22°, d = 1.431 Å, I = 15
- 2θ = 68.77°, d = 1.365 Å, I = 14
- 2θ = 69.86°, d = 1.346 Å, I = 22
- 2θ = 77.27°, d = 1.235 Å, I = 22